The following is a calculated PXRD pattern of CsCeCd2I8. It was derived from a structure optimized by DFT (GGA-PBE), using a wavelength of 1.5418 Å.
Peak positions follow from Bragg's law for the DFT cell and can differ from measured ones.

Crystal structure
Lattice parameters (Å, degrees): 8.7917 8.7917 10.3993 90.00 90.00 120.00
Sites, in units of the cell vectors:
Cs 0.0000 0.0000 0.0000
Ce 0.0000 0.0000 0.5000
Cd 0.3333 0.6667 0.2011
Cd 0.6667 0.3333 0.7989
I 0.1602 0.3204 0.3120
I 0.1602 0.8398 0.3120
I 0.3204 0.1602 0.6880
I 0.3333 0.6667 0.9417
I 0.6667 0.3333 0.0583
I 0.6796 0.8398 0.3120
I 0.8398 0.1602 0.6880
I 0.8398 0.6796 0.6880

Most intense lines, 2θ = 10–80°, sorted by position:
Position (°2θ)  I/Imax
14.42  100
20.20  43
21.95  42
24.91  48
26.55  34
29.07  64
41.07  59
42.09  57

***

The following is a calculated PXRD pattern of Cs3Ce3CdTe8. It was derived from a structure optimized by DFT (GGA-PBE), using a wavelength of 1.5418 Å.
Peak positions follow from Bragg's law for the DFT cell and can differ from measured ones.

Crystal structure
Lattice parameters (Å, degrees): 9.1155 9.1155 10.4633 115.77 115.77 60.10
Sites, in units of the cell vectors:
Cs 0.0000 0.0000 0.0000
Cs 0.0000 0.5000 0.0000
Cs 0.5000 0.0000 0.0000
Ce 0.0000 0.5000 0.5000
Ce 0.5000 0.0000 0.5000
Ce 0.5000 0.5000 0.5000
Cd 0.0000 0.0000 0.5000
Te 0.2295 0.2295 0.6864
Te 0.2309 0.7258 0.6873
Te 0.2690 0.2690 0.3072
Te 0.2742 0.7691 0.3127
Te 0.7258 0.2309 0.6873
Te 0.7310 0.7310 0.6928
Te 0.7691 0.2742 0.3127
Te 0.7705 0.7705 0.3136

Most intense lines, 2θ = 10–80°, sorted by position:
Position (°2θ)  I/Imax
26.11  100
32.36  15
34.86  30
39.53  38
43.23  10
47.99  19
53.71  9
63.88  11

***

The following is a calculated PXRD pattern of CeCd4Cu2. It was derived from a structure optimized by DFT (GGA-PBE), using a wavelength of 1.5418 Å.
Peak positions follow from Bragg's law for the DFT cell and can differ from measured ones.

Crystal structure
Lattice parameters (Å, degrees): 8.4321 8.4321 4.2411 90.00 90.00 150.48
Sites, in units of the cell vectors:
Ce 0.0000 0.0000 0.0000
Cd 0.1752 0.8248 0.5000
Cd 0.3223 0.6777 0.0000
Cd 0.6777 0.3223 0.0000
Cd 0.8248 0.1752 0.5000
Cu 0.4275 0.5725 0.5000
Cu 0.5725 0.4275 0.5000

Most intense lines, 2θ = 10–80°, sorted by position:
Position (°2θ)  I/Imax
32.95  14
33.98  100
40.73  13
42.07  19
42.64  19
61.44  12
71.70  11
72.51  10

***

The following is a calculated PXRD pattern of CeCdCu. It was derived from a structure optimized by DFT (GGA-PBE), using a wavelength of 1.5418 Å.
Peak positions follow from Bragg's law for the DFT cell and can differ from measured ones.

Crystal structure
Lattice parameters (Å, degrees): 6.5809 6.5809 6.5809 152.21 152.21 39.71
Sites, in units of the cell vectors:
Ce 0.0000 0.0000 0.0000
Cd 0.2941 0.2941 0.0000
Cu 0.6612 0.6612 0.0000

Most intense lines, 2θ = 10–80°, sorted by position:
Position (°2θ)  I/Imax
28.85  11
29.16  14
35.78  100
40.35  40
50.36  10
58.39  13
61.13  14
70.41  26

***

The following is a calculated PXRD pattern of Ce2CdCu3. It was derived from a structure optimized by DFT (GGA-PBE), using a wavelength of 1.5418 Å.
Peak positions follow from Bragg's law for the DFT cell and can differ from measured ones.

Crystal structure
Lattice parameters (Å, degrees): 8.8116 8.8116 8.8116 154.22 153.79 37.10
Sites, in units of the cell vectors:
Ce 0.0000 0.0000 0.0000
Ce 0.7823 0.2823 0.5000
Cd 0.6061 0.6061 0.0000
Cu 0.2066 0.7066 0.5000
Cu 0.3532 0.8532 0.5000
Cu 0.4398 0.4398 0.0000

Most intense lines, 2θ = 10–80°, sorted by position:
Position (°2θ)  I/Imax
27.78  28
33.73  100
35.00  49
44.40  27
45.39  19
46.18  18
59.23  21
65.37  16

***

The following is a calculated PXRD pattern of CeCdCu5. It was derived from a structure optimized by DFT (GGA-PBE), using a wavelength of 1.5418 Å.
Peak positions follow from Bragg's law for the DFT cell and can differ from measured ones.

Crystal structure
Lattice parameters (Å, degrees): 8.3267 5.0700 10.5470 90.00 90.00 90.00
Sites, in units of the cell vectors:
Ce 0.2463 0.2500 0.0633
Ce 0.2537 0.7500 0.5633
Ce 0.7463 0.2500 0.4367
Ce 0.7537 0.7500 0.9367
Cd 0.1369 0.7500 0.8643
Cd 0.3631 0.2500 0.3643
Cd 0.6369 0.7500 0.6357
Cd 0.8631 0.2500 0.1357
Cu 0.0547 0.7500 0.1085
Cu 0.0679 0.0008 0.3134
Cu 0.0679 0.4992 0.3134
Cu 0.0840 0.2500 0.5154
Cu 0.1840 0.2500 0.7426
Cu 0.3160 0.7500 0.2426
Cu 0.4160 0.7500 0.0154
Cu 0.4321 0.5008 0.8134
Cu 0.4321 0.9992 0.8134
Cu 0.4453 0.2500 0.6085
Cu 0.5547 0.7500 0.3915
Cu 0.5679 0.0008 0.1866
Cu 0.5679 0.4992 0.1866
Cu 0.5840 0.2500 0.9846
Cu 0.6840 0.2500 0.7574
Cu 0.8160 0.7500 0.2574
Cu 0.9160 0.7500 0.4846
Cu 0.9321 0.5008 0.6866
Cu 0.9321 0.9992 0.6866
Cu 0.9453 0.2500 0.8915

Most intense lines, 2θ = 10–80°, sorted by position:
Position (°2θ)  I/Imax
35.41  23
35.72  23
37.92  100
42.63  22
44.32  31
44.42  30
45.43  29
69.89  21

***

The following is a calculated PXRD pattern of Ce2DyCd6. It was derived from a structure optimized by DFT (GGA-PBE), using a wavelength of 1.5418 Å.
Peak positions follow from Bragg's law for the DFT cell and can differ from measured ones.

Crystal structure
Lattice parameters (Å, degrees): 8.8090 8.8090 3.3115 90.00 90.00 120.00
Sites, in units of the cell vectors:
Ce 0.3333 0.6667 0.0000
Ce 0.6667 0.3333 0.0000
Dy 0.0000 0.0000 0.0000
Cd 0.0000 0.3305 0.5000
Cd 0.0000 0.6695 0.5000
Cd 0.3305 0.0000 0.5000
Cd 0.3305 0.3305 0.5000
Cd 0.6695 0.0000 0.5000
Cd 0.6695 0.6695 0.5000

Most intense lines, 2θ = 10–80°, sorted by position:
Position (°2θ)  I/Imax
33.87  100
35.30  93
49.72  33
55.50  8
62.44  33
63.35  16
67.50  27
74.65  10

***

The following is a calculated PXRD pattern of CeDyCdRh. It was derived from a structure optimized by DFT (GGA-PBE), using a wavelength of 1.5418 Å.
Peak positions follow from Bragg's law for the DFT cell and can differ from measured ones.

Crystal structure
Lattice parameters (Å, degrees): 5.1155 5.1155 5.1155 60.00 60.00 60.00
Sites, in units of the cell vectors:
Ce 0.0000 0.0000 0.0000
Dy 0.5000 0.5000 0.5000
Cd 0.7500 0.7500 0.7500
Rh 0.2500 0.2500 0.2500

Most intense lines, 2θ = 10–80°, sorted by position:
Position (°2θ)  I/Imax
24.61  3
35.08  100
43.33  1
50.46  18
56.92  1
62.94  36
74.14  11
79.49  1

***

The following is a calculated PXRD pattern of Ce2ErCd4. It was derived from a structure optimized by DFT (GGA-PBE), using a wavelength of 1.5418 Å.
Peak positions follow from Bragg's law for the DFT cell and can differ from measured ones.

Crystal structure
Lattice parameters (Å, degrees): 8.2529 8.2529 8.2529 143.11 143.11 53.16
Sites, in units of the cell vectors:
Ce 0.2432 0.2432 0.0000
Ce 0.7568 0.7568 0.0000
Er 0.5000 0.5000 0.0000
Cd 0.1084 0.6084 0.5000
Cd 0.3916 0.8916 0.5000
Cd 0.6084 0.1084 0.5000
Cd 0.8916 0.3916 0.5000

Most intense lines, 2θ = 10–80°, sorted by position:
Position (°2θ)  I/Imax
18.02  10
24.86  8
27.00  7
34.35  100
49.37  17
51.00  4
61.52  32
72.40  9

***

The following is a calculated PXRD pattern of CeErCd5. It was derived from a structure optimized by DFT (GGA-PBE), using a wavelength of 1.5418 Å.
Peak positions follow from Bragg's law for the DFT cell and can differ from measured ones.

Crystal structure
Lattice parameters (Å, degrees): 5.5694 5.5694 6.8047 99.56 99.56 112.86
Sites, in units of the cell vectors:
Ce 0.0000 0.0000 0.0000
Er 0.5000 0.5000 0.5000
Cd 0.0000 0.0000 0.5000
Cd 0.0785 0.5068 0.7668
Cd 0.4932 0.9215 0.2332
Cd 0.5068 0.0785 0.7668
Cd 0.9215 0.4932 0.2332

Most intense lines, 2θ = 10–80°, sorted by position:
Position (°2θ)  I/Imax
25.20  19
33.70  100
34.48  38
36.19  55
38.81  19
47.58  12
52.88  14
59.64  14

***

The following is a calculated PXRD pattern of CeErMg2Cd4. It was derived from a structure optimized by DFT (GGA-PBE), using a wavelength of 1.5418 Å.
Peak positions follow from Bragg's law for the DFT cell and can differ from measured ones.

Crystal structure
Lattice parameters (Å, degrees): 8.9064 8.9064 8.9064 33.38 33.38 33.38
Sites, in units of the cell vectors:
Ce 0.0000 0.0000 0.0000
Er 0.5000 0.5000 0.5000
Mg 0.2497 0.2497 0.2497
Mg 0.7503 0.7503 0.7503
Cd 0.1276 0.1276 0.1276
Cd 0.3782 0.3782 0.3782
Cd 0.6218 0.6218 0.6218
Cd 0.8724 0.8724 0.8724

Most intense lines, 2θ = 10–80°, sorted by position:
Position (°2θ)  I/Imax
21.15  11
21.26  34
34.94  100
35.08  100
41.35  18
50.36  35
62.58  17
62.88  52

***

The following is a calculated PXRD pattern of CeEuYCd. It was derived from a structure optimized by DFT (GGA-PBE), using a wavelength of 1.5418 Å.
Peak positions follow from Bragg's law for the DFT cell and can differ from measured ones.

Crystal structure
Lattice parameters (Å, degrees): 5.5156 5.5156 5.5156 60.00 60.00 60.00
Sites, in units of the cell vectors:
Ce 0.0000 0.0000 0.0000
Eu 0.7500 0.7500 0.7500
Y 0.5000 0.5000 0.5000
Cd 0.2500 0.2500 0.2500

Most intense lines, 2θ = 10–80°, sorted by position:
Position (°2θ)  I/Imax
19.71  3
32.47  100
38.27  2
46.57  18
51.04  1
57.92  37
67.98  11
77.38  16

***

Copy entry 1 word for word.
The following is a calculated PXRD pattern of CsCeCd2I8. It was derived from a structure optimized by DFT (GGA-PBE), using a wavelength of 1.5418 Å.
Peak positions follow from Bragg's law for the DFT cell and can differ from measured ones.

Crystal structure
Lattice parameters (Å, degrees): 8.7917 8.7917 10.3993 90.00 90.00 120.00
Sites, in units of the cell vectors:
Cs 0.0000 0.0000 0.0000
Ce 0.0000 0.0000 0.5000
Cd 0.3333 0.6667 0.2011
Cd 0.6667 0.3333 0.7989
I 0.1602 0.3204 0.3120
I 0.1602 0.8398 0.3120
I 0.3204 0.1602 0.6880
I 0.3333 0.6667 0.9417
I 0.6667 0.3333 0.0583
I 0.6796 0.8398 0.3120
I 0.8398 0.1602 0.6880
I 0.8398 0.6796 0.6880

Most intense lines, 2θ = 10–80°, sorted by position:
Position (°2θ)  I/Imax
14.42  100
20.20  43
21.95  42
24.91  48
26.55  34
29.07  64
41.07  59
42.09  57